Theoretical powder X-ray diffraction pattern of La4Zn3Co2 for copper Kα, from a crystal structure in OQMD, relaxed with GGA-PBE.
Neutral-atom scattering factors, no anomalous dispersion.

Peak list (10 most intense, 2θ from 10° to 80°, sorted by position)
Position (°2θ)  intensity
25.07  15
30.73  23
31.53  33
33.27  100
34.47  95
37.43  36
39.53  31
41.49  19
47.57  29
62.05  17

```
La4Zn3Co2
1.0
7.2020 0.0000 0.0000
0.0000 3.8233 0.0000
-2.3298 0.0000 7.5892
La Zn Co
4 3 2
Direct
0.0831 0.0000 0.2184 La
0.3933 0.0000 0.6981 La
0.6067 0.0000 0.3019 La
0.9169 0.0000 0.7816 La
0.0000 0.5000 0.5000 Zn
0.3076 0.5000 0.0171 Zn
0.6924 0.5000 0.9829 Zn
0.3390 0.5000 0.3855 Co
0.6610 0.5000 0.6145 Co
```